No. 1
Diffraction record for NaHfGaI6. The X-ray diffraction stick pattern is calculated, not measured: it uses the PBE geometry in Alexandria and Cu Kα X-rays.
No peak broadening, texture or thermal motion is included.

Main lines, sorted by position (2θ = 10–90°):
14.52°, 6.099 Å, I 37; 18.22°, 4.870 Å, I 19; 26.09°, 3.415 Å, I 100; 34.37°, 2.609 Å, I 49; 39.92°, 2.258 Å, I 34; 45.23°, 2.005 Å, I 23; 48.32°, 1.884 Å, I 13; 67.71°, 1.384 Å, I 13

Crystal structure
```
NaHfGaI6
1.0
7.8229 0.0000 0.0000
-3.9114 6.7748 0.0000
0.0000 0.0000 14.0103
Na Hf Ga I
2 2 2 12
Direct
0.3333 0.6667 0.2500
0.6667 0.3333 0.7500
0.3333 0.6667 0.7500
0.6667 0.3333 0.2500
0.0000 0.0000 0.0000
0.0000 0.0000 0.5000
0.0335 0.3715 0.6308
0.0335 0.6620 0.8692
0.3380 0.3715 0.8692
0.3380 0.9665 0.6308
0.3715 0.0335 0.1308
0.3715 0.3380 0.3692
0.6285 0.6620 0.6308
0.6285 0.9665 0.8692
0.6620 0.0335 0.3692
0.6620 0.6285 0.1308
0.9665 0.3380 0.1308
0.9665 0.6285 0.3692
```

=====

No. 2
Diffraction record for SmHoPdPt. The X-ray diffraction stick pattern is calculated, not measured: it uses the PBE geometry in Alexandria and Cu Kα X-rays.
No peak broadening, texture or thermal motion is included.

Main lines, sorted by position (2θ = 10–90°):
31.91°, 2.805 Å, I 100; 33.63°, 2.665 Å, I 31; 34.56°, 2.596 Å, I 16; 39.26°, 2.295 Å, I 21; 39.96°, 2.256 Å, I 32; 40.08°, 2.250 Å, I 72; 47.86°, 1.901 Å, I 19; 53.22°, 1.721 Å, I 22

Crystal structure
```
SmHoPdPt
1.0
4.5120 0.0000 0.0000
0.0000 3.8010 0.0000
0.0000 0.0000 10.6592
Sm Ho Pd Pt
2 2 2 2
Direct
0.0000 0.0000 0.0000
0.0000 0.5000 0.5000
0.5000 0.0000 0.7253
0.5000 0.5000 0.2253
0.5000 0.0000 0.4478
0.5000 0.5000 0.9478
0.0000 0.0000 0.2738
0.0000 0.5000 0.7738
```

=====

No. 3
Diffraction record for Tl2AgCl4. The X-ray diffraction stick pattern is calculated, not measured: it uses the PBE geometry in Alexandria and Cu Kα X-rays.
No peak broadening, texture or thermal motion is included.

Main lines, sorted by position (2θ = 10–90°):
11.98°, 7.387 Å, I 21; 16.98°, 5.223 Å, I 46; 24.10°, 3.693 Å, I 33; 27.18°, 3.281 Å, I 100; 32.22°, 2.779 Å, I 45; 34.34°, 2.612 Å, I 44; 44.33°, 2.043 Å, I 53; 56.05°, 1.641 Å, I 21

Crystal structure
```
Tl2AgCl4
1.0
7.3868 0.0000 0.0000
0.0000 7.3868 0.0000
0.0000 0.0000 4.2177
Tl Ag Cl
2 1 4
Direct
0.0000 0.5000 0.0000
0.5000 0.0000 0.0000
0.0000 0.0000 0.5000
0.2358 0.2358 0.5000
0.2358 0.7642 0.5000
0.7642 0.2358 0.5000
0.7642 0.7642 0.5000
```

=====

No. 4
Diffraction record for Pa3Re3B8. The X-ray diffraction stick pattern is calculated, not measured: it uses the PBE geometry in Alexandria and Cu Kα X-rays.
No peak broadening, texture or thermal motion is included.

Main lines, sorted by position (2θ = 10–90°):
14.96°, 5.922 Å, I 34; 18.41°, 4.818 Å, I 36; 30.18°, 2.961 Å, I 54; 35.28°, 2.544 Å, I 59; 37.33°, 2.409 Å, I 41; 41.54°, 2.174 Å, I 100; 43.35°, 2.087 Å, I 39; 65.82°, 1.419 Å, I 34

Crystal structure
```
Pa3Re3B8
1.0
-1.5481 4.8182 5.9219
1.5481 -4.8182 5.9219
1.5481 4.8182 -5.9219
Pa Re B
3 3 8
Direct
0.0000 0.0000 0.0000
0.2853 0.2853 0.0000
0.7147 0.7147 0.0000
0.2782 0.5000 0.7782
0.5000 0.0000 0.5000
0.7218 0.5000 0.2218
0.0053 0.3395 0.6657
0.0976 0.8614 0.2361
0.3262 0.6605 0.6657
0.3747 0.1386 0.2361
0.6253 0.8614 0.7639
0.6738 0.3395 0.3343
0.9024 0.1386 0.7639
0.9947 0.6605 0.3343
```

=====

No. 5
Diffraction record for Pu3Ga2Ni7. The X-ray diffraction stick pattern is calculated, not measured: it uses the PBE geometry in Alexandria and Cu Kα X-rays.
No peak broadening, texture or thermal motion is included.

Main lines, sorted by position (2θ = 10–90°):
20.26°, 4.383 Å, I 31; 33.26°, 2.694 Å, I 61; 34.84°, 2.575 Å, I 71; 36.45°, 2.465 Å, I 37; 40.64°, 2.220 Å, I 40; 41.90°, 2.156 Å, I 100; 67.31°, 1.391 Å, I 24; 73.57°, 1.287 Å, I 22

Crystal structure
```
Pu3Ga2Ni7
1.0
2.5749 1.4866 7.8870
-2.5749 1.4866 7.8870
0.0000 -2.9732 7.8870
Pu Ga Ni
3 2 7
Direct
0.0000 0.0000 0.0000
0.1415 0.1415 0.1415
0.8585 0.8585 0.8585
0.3323 0.3323 0.3323
0.6677 0.6677 0.6677
0.0844 0.5815 0.5815
0.4185 0.4185 0.9156
0.4185 0.9156 0.4185
0.5000 0.5000 0.5000
0.5815 0.0844 0.5815
0.5815 0.5815 0.0844
0.9156 0.4185 0.4185
```

=====

No. 6
Diffraction record for AcErZn3. The X-ray diffraction stick pattern is calculated, not measured: it uses the PBE geometry in Alexandria and Cu Kα X-rays.
No peak broadening, texture or thermal motion is included.

Main lines, sorted by position (2θ = 10–90°):
23.15°, 3.842 Å, I 32; 32.05°, 2.792 Å, I 100; 32.77°, 2.733 Å, I 52; 37.95°, 2.371 Å, I 47; 38.96°, 2.312 Å, I 28; 48.03°, 1.894 Å, I 15; 51.80°, 1.765 Å, I 29; 62.78°, 1.480 Å, I 21

Crystal structure
```
AcErZn3
1.0
1.8944 -13.8095 0.0000
1.8944 13.8095 0.0000
0.0000 0.0000 4.6237
Ac Er Zn
2 2 6
Direct
0.0768 0.9232 0.7500
0.9232 0.0768 0.2500
0.2109 0.7891 0.2500
0.7891 0.2109 0.7500
0.3198 0.6802 0.2500
0.3736 0.6264 0.7500
0.4762 0.5238 0.7500
0.5238 0.4762 0.2500
0.6264 0.3736 0.2500
0.6802 0.3198 0.7500
```